No. 1
Structure and theoretical X-ray diffraction stick pattern of Li3NiOF3 (a structure optimized by DFT (PBE+U); Cu Kα (λ = 1.5418 Å)).
Intensities are scaled so that the largest is 1000.

The 8 most intense peaks (5° ≤ 2θ ≤ 70°), by angle:
2θ/deg  Rel. int.  (hkl)
8.89  1000  0 0 1
18.59  483  2 0 0
19.13  257  2 0 -1
22.05  158  2 0 1
35.69  215  1 1 -2
43.49  620  3 1 -2
43.95  295  2 0 4
63.55  412  5 1 2

Atomic structure:
```
data_Li3NiOF3
_chemical_formula_sum 'Li12 Ni4 O4 F12'
_cell_length_a 9.7004
_cell_length_b 2.9573
_cell_length_c 10.1155
_cell_angle_alpha 90.00
_cell_angle_beta 100.31
_cell_angle_gamma 90.00
_space_group_name_H-M_alt 'C 1 2/m 1'
_space_group_IT_number 12
loop_
_space_group_symop_operation_xyz
'x,y,z'
'-x,-y,-z'
'-x,y,-z'
'x,-y,z'
'x+1/2,y+1/2,z'
'-x+1/2,-y+1/2,-z'
'-x+1/2,y+1/2,-z'
'x+1/2,-y+1/2,z'
loop_
_atom_site_label
_atom_site_fract_x
_atom_site_fract_y
_atom_site_fract_z
Li1 0.0000 0.0000 0.0000
Li2 0.0000 0.0000 0.5000
Li3 0.0039 0.5000 0.2556
Li4 0.2505 0.0000 0.8812
Ni1 0.2450 0.0000 0.3832
O1 0.1258 0.5000 0.4346
F1 0.1245 0.5000 0.9394
F2 0.1263 0.0000 0.1815
F3 0.1315 0.0000 0.6994
```

***

No. 2
Structure and theoretical X-ray diffraction stick pattern of Li5Ni3O5F3 (a structure optimized by DFT (PBE+U); Cu Kα (λ = 1.5418 Å)).
Intensities are scaled so that the largest is 1000.

The 8 most intense peaks (5° ≤ 2θ ≤ 70°), by angle:
2θ/deg  Rel. int.  (hkl)
18.33  1000  0 1 -1
18.65  93  1 0 0
33.96  165  0 1 1
37.12  235  -2 1 1
40.45  317  0 0 2
45.03  232  2 -2 0
45.33  220  2 2 -2
62.29  162  -2 2 2

Atomic structure:
```
data_Li5Ni3O5F3
_chemical_formula_sum 'Li5 Ni3 O5 F3'
_cell_length_a 5.5994
_cell_length_b 5.7562
_cell_length_c 5.9831
_cell_angle_alpha 118.67
_cell_angle_beta 117.37
_cell_angle_gamma 90.36
_space_group_name_H-M_alt 'P 1'
_space_group_IT_number 1
loop_
_space_group_symop_operation_xyz
'x,y,z'
loop_
_atom_site_label
_atom_site_fract_x
_atom_site_fract_y
_atom_site_fract_z
Li1 0.0000 0.0000 0.0000
Li2 0.0012 0.4799 0.0091
Li3 0.5045 0.9945 0.4985
Li4 0.5121 0.4865 0.0009
Li5 0.9938 0.0044 0.4767
Ni1 0.0036 0.4951 0.4959
Ni2 0.5100 0.9998 0.9983
Ni3 0.5226 0.4790 0.5313
O1 0.2465 0.7098 0.4938
O2 0.2654 0.2531 0.5333
O3 0.7383 0.7356 0.4564
O4 0.7514 0.2485 0.9908
O5 0.7621 0.2792 0.4998
F1 0.2354 0.7534 0.9683
F2 0.2820 0.2174 0.0636
F3 0.7263 0.7703 0.9333
```

***

No. 3
Structure and theoretical X-ray diffraction stick pattern of Li3Ni2O2F3 (a structure optimized by DFT (PBE+U); Cu Kα (λ = 1.5418 Å)).
Intensities are scaled so that the largest is 1000.

The 8 most intense peaks (5° ≤ 2θ ≤ 70°), by angle:
2θ/deg  Rel. int.  (hkl)
8.51  1000  0 0 2
33.10  206  1 0 3
34.53  48  0 0 8
37.47  45  1 0 5
43.31  120  1 0 7
43.54  393  1 1 0
44.44  73  1 1 2
63.26  217  2 0 0

Atomic structure:
```
data_Li3Ni2O2F3
_chemical_formula_sum 'Li6 Ni4 O4 F6'
_cell_length_a 2.9404
_cell_length_b 2.9404
_cell_length_c 20.7809
_cell_angle_alpha 90.00
_cell_angle_beta 90.00
_cell_angle_gamma 90.00
_space_group_name_H-M_alt 'I 4/m m m'
_space_group_IT_number 139
_space_group_name_Hall '-I 4 2'
loop_
_atom_site_label
_atom_site_fract_x
_atom_site_fract_y
_atom_site_fract_z
Li1 0.0000 0.0000 0.0000
Li2 0.0000 0.0000 0.4012
Ni1 0.0000 0.0000 0.2003
O1 0.0000 0.0000 0.3018
F1 0.0000 0.0000 0.0960
F2 0.0000 0.0000 0.5000
```

***

No. 4
Structure and theoretical X-ray diffraction stick pattern of LiNi7O7F (a structure optimized by DFT (PBE+U); Cu Kα (λ = 1.5418 Å)).
Intensities are scaled so that the largest is 1000.

The 8 most intense peaks (5° ≤ 2θ ≤ 70°), by angle:
2θ/deg  Rel. int.  (hkl)
9.06  211  0 0 1
17.31  61  1 0 0
18.18  109  0 0 2
36.83  959  1 1 1
42.48  507  2 0 2
42.93  1000  1 1 -3
61.99  571  3 1 -1
62.33  285  0 2 0

Atomic structure:
```
data_LiNi7O7F
_chemical_formula_sum 'Li1 Ni7 O7 F1'
_cell_length_a 5.1927
_cell_length_b 2.9810
_cell_length_c 9.8975
_cell_angle_alpha 90.00
_cell_angle_beta 99.50
_cell_angle_gamma 90.00
_space_group_name_H-M_alt 'P 1 m 1'
_space_group_IT_number 6
loop_
_space_group_symop_operation_xyz
'x,y,z'
'x,-y,z'
loop_
_atom_site_label
_atom_site_fract_x
_atom_site_fract_y
_atom_site_fract_z
Li1 0.0000 0.0000 0.0000
Ni1 0.0009 0.5000 0.5235
Ni2 0.2435 0.0000 0.7721
Ni3 0.2610 0.5000 0.2701
Ni4 0.4760 0.5000 0.0124
Ni5 0.4983 0.0000 0.5247
Ni6 0.7457 0.0000 0.2760
Ni7 0.7481 0.5000 0.7752
O1 0.1185 0.0000 0.3874
O2 0.1210 0.5000 0.8901
O3 0.3719 0.5000 0.6410
O4 0.3931 0.0000 0.1502
O5 0.6142 0.0000 0.8962
O6 0.6269 0.5000 0.3943
O7 0.8692 0.0000 0.6425
F1 0.8796 0.5000 0.1448
```